This entry pairs a crystal structure of KV3Se6 with its theoretical X-ray powder pattern. Radiation: Cu Ka. Structure: the PBE geometry in Alexandria.
Lines closer than 0.1° are merged.

Cell and atoms:
```
data_KV3Se6
_cell_length_a 12.5028
_cell_length_b 3.3917
_cell_length_c 13.3568
_cell_angle_alpha 90.00
_cell_angle_beta 93.35
_cell_angle_gamma 90.00
_space_group_name_H-M_alt 'P 1 21/m 1'
_space_group_IT_number 11
_space_group_name_Hall '-P 2yb'
loop_
_atom_site_label
_atom_site_fract_x
_atom_site_fract_y
_atom_site_fract_z
_atom_site_occupancy
K1 0.1828 0.2500 0.4075 1
V1 0.0404 0.7500 0.9137 1
V2 0.1271 0.2500 0.7244 1
V3 0.4495 0.7500 0.5681 1
Se1 0.0456 0.7500 0.2088 1
Se2 0.0861 0.7500 0.5939 1
Se3 0.1379 0.2500 0.0197 1
Se4 0.2226 0.7500 0.8301 1
Se5 0.3294 0.2500 0.6341 1
Se6 0.4107 0.7500 0.3852 1
```

Main lines, by angle (2θ from 15° to 90°):
Position (°2θ)	intensity
32.38	261
33.23	262
33.61	308
34.13	718
34.27	1000
34.53	506
36.78	247
45.10	507
52.96	288
54.08	259

This entry pairs a crystal structure of Mn3Nb4Re with its theoretical X-ray powder pattern. Radiation: Cu Ka. Structure: the PBE geometry in Alexandria.
Lines closer than 0.1° are merged.

Cell and atoms:
```
data_Mn3Nb4Re
_cell_length_a 3.1153
_cell_length_b 4.4173
_cell_length_c 8.7634
_cell_angle_alpha 90.00
_cell_angle_beta 90.00
_cell_angle_gamma 90.00
_space_group_name_H-M_alt 'P m m m'
_space_group_IT_number 47
_space_group_name_Hall '-P 2 2'
loop_
_atom_site_label
_atom_site_fract_x
_atom_site_fract_y
_atom_site_fract_z
_atom_site_occupancy
Mn1 0.0000 0.0000 0.0000 1
Mn2 0.0000 0.5000 0.2461 1
Nb1 0.5000 0.0000 0.2425 1
Nb2 0.5000 0.5000 0.0000 1
Nb3 0.5000 0.5000 0.5000 1
Re1 0.0000 0.0000 0.5000 1
```

Main lines, by angle (2θ from 15° to 90°):
Position (°2θ)	intensity
22.54	63
36.76	49
40.86	253
41.00	1000
41.20	244
59.39	242
74.51	243
74.78	80
74.96	156
88.92	104